The following is a computed powder diffraction line list of PuCdPdRu. It was derived from a structure optimized by DFT (GGA-PBE), using copper Kα.
Peak positions follow from Bragg's law for the DFT cell and can differ from measured ones.

Most intense lines, 2θ = 10–90°, in order of rising 2θ:
2θ (°), I (rel.)
23.02, 10
26.64, 7
38.03, 100
44.93, 6
54.88, 17
62.02, 3
68.72, 35
81.34, 11

```
PuCdPdRu
1.0
6.6917 0.0000 0.0000
0.0000 6.6917 0.0000
0.0000 0.0000 6.6917
Pu Cd Pd Ru
4 4 4 4
Cartesian
0.0000 0.0000 0.0000
0.0000 3.3458 3.3458
3.3458 0.0000 3.3458
3.3458 3.3458 0.0000
0.0000 0.0000 3.3458
0.0000 3.3458 0.0000
3.3458 0.0000 0.0000
3.3458 3.3458 3.3458
1.6729 1.6729 5.0187
1.6729 5.0187 1.6729
5.0187 1.6729 1.6729
5.0187 5.0187 5.0187
1.6729 1.6729 1.6729
1.6729 5.0187 5.0187
5.0187 1.6729 5.0187
5.0187 5.0187 1.6729
```

The following is a computed powder diffraction line list of Rb2Cd6Pd. It was derived from a structure optimized by DFT (GGA-PBE), using copper Kα.
Peak positions follow from Bragg's law for the DFT cell and can differ from measured ones.

Most intense lines, 2θ = 10–90°, in order of rising 2θ:
2θ (°), I (rel.)
29.49, 23
29.97, 14
31.87, 19
33.18, 100
41.50, 26
53.21, 24
64.16, 16
88.01, 14

```
Rb2Cd6Pd
1.0
6.8863 0.0000 0.0000
-3.4431 5.9637 0.0000
0.0000 0.0000 6.3659
Rb Cd Pd
2 6 1
Cartesian
0.0000 3.9758 2.1272
3.4431 1.9879 4.2386
0.0000 2.0022 5.1896
-1.7092 4.9626 5.1896
1.7340 1.0011 1.1763
1.7092 4.9626 5.1896
5.1523 1.0011 1.1763
3.4431 3.9615 1.1763
0.0000 0.0000 3.1829
```

The following is a computed powder diffraction line list of Cd2Pd6Rh. It was derived from a structure optimized by DFT (GGA-PBE), using copper Kα.
Peak positions follow from Bragg's law for the DFT cell and can differ from measured ones.

Most intense lines, 2θ = 10–90°, in order of rising 2θ:
2θ (°), I (rel.)
28.17, 15
38.55, 41
39.09, 100
40.72, 51
41.02, 62
44.20, 30
54.72, 18
70.39, 15

```
Cd2Pd6Rh
1.0
-2.2160 2.7611 6.3363
2.2160 -2.7611 6.3363
2.2160 2.7611 -6.3363
Cd Pd Rh
2 6 1
Cartesian
0.0000 0.0000 1.9640
0.0000 0.0000 10.7087
2.2160 1.4573 -1.3122
2.2160 0.0000 3.7008
2.2160 1.4573 1.3122
0.0000 1.3039 5.0241
0.0000 2.7611 2.6355
0.0000 1.3039 7.6485
0.0000 2.7611 0.0000
```

The following is a computed powder diffraction line list of Sc5Cd2Pd2Rh. It was derived from a structure optimized by DFT (GGA-PBE), using copper Kα.
Peak positions follow from Bragg's law for the DFT cell and can differ from measured ones.

Most intense lines, 2θ = 10–90°, in order of rising 2θ:
2θ (°), I (rel.)
25.30, 34
26.79, 16
33.18, 26
34.18, 20
35.32, 14
36.09, 15
37.18, 100
39.83, 22

```
Sc5Cd2Pd2Rh
1.0
11.1311 0.0000 0.0000
0.0000 11.1311 0.0000
0.0000 0.0000 3.3275
Sc Cd Pd Rh
10 4 4 2
Cartesian
0.0000 5.5656 0.0000
0.7758 2.0907 0.0000
2.0907 10.3553 0.0000
3.4748 4.7898 0.0000
4.7898 7.6563 0.0000
5.5656 0.0000 0.0000
6.3414 3.4748 0.0000
7.6563 6.3414 0.0000
9.0404 0.7758 0.0000
10.3553 9.0404 0.0000
1.9156 7.4812 1.6637
3.6499 1.9156 1.6637
7.4812 9.2155 1.6637
9.2155 3.6499 1.6637
1.4926 4.0730 1.6637
4.0730 9.6385 1.6637
7.0582 1.4926 1.6637
9.6385 7.0582 1.6637
0.0000 0.0000 1.6637
5.5656 5.5656 1.6637
```

Q: Number 1 is which compound?
A: PuCdPdRu

Q: Number 1 is which compound?
A: PuCdPdRu